Entry 1:
Simulated powder diffractogram of VCrPBr for Cu Kα X-rays, from the GGA-PBE geometry in Alexandria.
Intensities are scaled so that the largest is 100.

Structure:
Cell: 4.3187 4.3187 6.4727 Å, 91.83 91.83 45.95°
Positions (direct):
1 V 0.0000 0.0000 0.0000
2 Cr 0.7004 0.7004 0.8315
3 P 0.2921 0.2921 0.0792
4 Br 0.0300 0.0300 0.6045

Main lines, by angle (2θ from 5° to 70°):
2θ 13.69, I = 100
2θ 25.90, I = 30
2θ 28.77, I = 44
2θ 32.16, I = 25
2θ 39.99, I = 41
2θ 40.56, I = 26
2θ 43.44, I = 44
2θ 51.26, I = 23

---

Entry 2:
Simulated powder diffractogram of KTa2P for Cu Kα X-rays, from the GGA-PBE geometry in Alexandria.
Intensities are scaled so that the largest is 100.

Structure:
Cell: 3.3369 3.3369 8.3718 Å, 90.00 90.00 90.00°
Positions (direct):
1 K 0.0000 0.0000 0.0000
2 Ta 0.0000 0.0000 0.4322
3 Ta 0.5000 0.5000 0.6185
4 P 0.5000 0.5000 0.2997

Main lines, by angle (2θ from 5° to 70°):
2θ 10.57, I = 100
2θ 28.80, I = 16
2θ 34.37, I = 43
2θ 38.14, I = 26
2θ 39.69, I = 18
2θ 42.22, I = 28
2θ 51.55, I = 11
2θ 66.52, I = 13

---

Entry 3:
Simulated powder diffractogram of La5Tl2Ru for Cu Kα X-rays, from the GGA-PBE geometry in Alexandria.
Intensities are scaled so that the largest is 100.

Structure:
Cell: 7.0097 7.0097 7.0097 Å, 114.69 114.69 99.47°
Positions (direct):
1 La 0.0000 0.0000 0.0000
2 La 0.4944 0.4944 0.5052
3 La 0.4944 0.9891 0.0000
4 La 0.9891 0.4944 0.0000
5 La 0.9891 0.9891 0.4948
6 Tl 0.4845 0.9845 0.5000
7 Tl 0.9845 0.4845 0.5000
8 Ru 0.3112 0.3112 0.0000

Main lines, by angle (2θ from 5° to 70°):
2θ 25.77, I = 16
2θ 30.80, I = 100
2θ 33.51, I = 54
2θ 48.12, I = 20
2θ 52.97, I = 24
2θ 58.22, I = 33
2θ 64.15, I = 14
2θ 66.69, I = 15

---

Entry 4:
Simulated powder diffractogram of UPa2OsC4 for Cu Kα X-rays, from the GGA-PBE geometry in Alexandria.
Intensities are scaled so that the largest is 100.

Structure:
Cell: 6.1288 6.1288 11.8540 Å, 90.00 90.00 147.52°
Positions (direct):
1 U 0.1080 0.8920 0.7500
2 U 0.8920 0.1080 0.2500
3 Pa 0.3660 0.6340 0.5494
4 Pa 0.3660 0.6340 0.9506
5 Pa 0.6340 0.3660 0.0494
6 Pa 0.6340 0.3660 0.4506
7 Os 0.1486 0.8514 0.2500
8 Os 0.8514 0.1486 0.7500
9 C 0.0000 0.0000 0.0000
10 C 0.0000 0.0000 0.5000
11 C 0.2803 0.7197 0.1352
12 C 0.2803 0.7197 0.3648
13 C 0.4581 0.5419 0.7500
14 C 0.5419 0.4581 0.2500
15 C 0.7197 0.2803 0.6352
16 C 0.7197 0.2803 0.8648

Main lines, by angle (2θ from 5° to 70°):
2θ 27.18, I = 42
2θ 30.16, I = 33
2θ 30.38, I = 60
2θ 31.08, I = 100
2θ 35.54, I = 35
2θ 38.02, I = 80
2θ 41.03, I = 23
2θ 49.41, I = 24

---

Entry 5:
Simulated powder diffractogram of Na5B7C3 for Cu Kα X-rays, from the GGA-PBE geometry in Alexandria.
Intensities are scaled so that the largest is 100.

Structure:
Cell: 11.6343 11.6343 10.0542 Å, 106.97 106.97 13.87°
Positions (direct):
1 Na 0.0000 0.0000 0.0000
2 Na 0.0995 0.0995 0.6934
3 Na 0.2006 0.2006 0.4017
4 Na 0.3005 0.3005 0.1028
5 Na 0.3994 0.3994 0.7973
6 Na 0.5000 0.5000 0.5000
7 Na 0.6006 0.6006 0.2027
8 Na 0.6995 0.6995 0.8972
9 Na 0.7994 0.7994 0.5983
10 Na 0.9005 0.9005 0.3066
11 B 0.0196 0.0196 0.2919
12 B 0.1159 0.1159 0.9812
13 B 0.1799 0.1799 0.1109
14 B 0.2085 0.2085 0.6655
15 B 0.2761 0.2761 0.7995
16 B 0.3863 0.3863 0.5225
17 B 0.4276 0.4276 0.1075
18 B 0.5724 0.5724 0.8925
19 B 0.6137 0.6137 0.4775
20 B 0.7239 0.7239 0.2005
21 B 0.7915 0.7915 0.3345
22 B 0.8201 0.8201 0.8891
23 B 0.8841 0.8841 0.0188
24 B 0.9804 0.9804 0.7081
25 C 0.0819 0.0819 0.4160
26 C 0.3228 0.3228 0.3975
27 C 0.4874 0.4874 0.2280
28 C 0.5126 0.5126 0.7720
29 C 0.6772 0.6772 0.6025
30 C 0.9181 0.9181 0.5840

Main lines, by angle (2θ from 5° to 70°):
2θ 34.80, I = 12
2θ 36.42, I = 17
2θ 40.72, I = 24
2θ 40.88, I = 24
2θ 41.98, I = 38
2θ 42.22, I = 100
2θ 63.44, I = 16
2θ 66.57, I = 8

---

Entry 6:
Simulated powder diffractogram of Cs2ZnSn3Se8 for Cu Kα X-rays, from the GGA-PBE geometry in Alexandria.
Intensities are scaled so that the largest is 100.

Structure:
Cell: 7.9285 13.5653 18.8449 Å, 90.00 90.00 90.00°
Positions (direct):
1 Cs 0.2021 0.1959 0.1648
2 Cs 0.2377 0.8651 0.0549
3 Cs 0.2623 0.1349 0.5549
4 Cs 0.2979 0.8041 0.6648
5 Cs 0.7021 0.3041 0.8352
6 Cs 0.7377 0.6349 0.9451
7 Cs 0.7623 0.3651 0.4451
8 Cs 0.7979 0.6959 0.3352
9 Zn 0.0136 0.0064 0.3465
10 Zn 0.4864 0.9936 0.8465
11 Zn 0.5136 0.4936 0.6535
12 Zn 0.9864 0.5064 0.1535
13 Sn 0.0037 0.4835 0.6456
14 Sn 0.2143 0.4384 0.9843
15 Sn 0.2492 0.4551 0.3172
16 Sn 0.2508 0.5449 0.8172
17 Sn 0.2857 0.5616 0.4843
18 Sn 0.4963 0.5165 0.1456
19 Sn 0.5037 0.0165 0.3544
20 Sn 0.7143 0.0616 0.0157
21 Sn 0.7492 0.0449 0.6828
22 Sn 0.7508 0.9551 0.1828
23 Sn 0.7857 0.9384 0.5157
24 Sn 0.9963 0.9835 0.8544
25 Se 0.0074 0.1038 0.9637
26 Se 0.0075 0.1117 0.7506
27 Se 0.0354 0.9117 0.2320
28 Se 0.0370 0.8836 0.4449
29 Se 0.2108 0.3629 0.8571
30 Se 0.2217 0.6223 0.9444
31 Se 0.2318 0.6202 0.1529
32 Se 0.2491 0.1290 0.3557
33 Se 0.2509 0.8710 0.8557
34 Se 0.2682 0.3798 0.6529
35 Se 0.2783 0.3777 0.4444
36 Se 0.2892 0.6371 0.3571
37 Se 0.4630 0.1164 0.9449
38 Se 0.4646 0.0883 0.7320
39 Se 0.4925 0.8883 0.2506
40 Se 0.4926 0.8962 0.4637
41 Se 0.5074 0.3962 0.0363
42 Se 0.5075 0.3883 0.2494
43 Se 0.5354 0.5883 0.7680
44 Se 0.5370 0.6164 0.5551
45 Se 0.7108 0.1371 0.1429
46 Se 0.7217 0.8777 0.0556
47 Se 0.7318 0.8798 0.8471
48 Se 0.7491 0.3710 0.6443
49 Se 0.7509 0.6290 0.1443
50 Se 0.7682 0.1202 0.3471
51 Se 0.7783 0.1223 0.5556
52 Se 0.7892 0.8629 0.6429
53 Se 0.9630 0.3836 0.0551
54 Se 0.9646 0.4117 0.2680
55 Se 0.9925 0.6117 0.7494
56 Se 0.9926 0.6038 0.5363

Main lines, by angle (2θ from 5° to 70°):
2θ 12.93, I = 25
2θ 13.05, I = 47
2θ 24.25, I = 37
2θ 25.24, I = 60
2θ 26.47, I = 26
2θ 27.06, I = 100
2θ 39.87, I = 26
2θ 44.81, I = 28

---

Entry 7:
Simulated powder diffractogram of Li3ZnCu4 for Cu Kα X-rays, from the GGA-PBE geometry in Alexandria.
Intensities are scaled so that the largest is 100.

Structure:
Cell: 5.3151 5.3902 7.1143 Å, 90.00 90.00 90.00°
Positions (direct):
1 Li 0.0000 0.0000 0.0000
2 Li 0.2500 0.2486 0.2500
3 Li 0.2500 0.7514 0.7500
4 Li 0.5000 0.0000 0.5000
5 Li 0.7500 0.2486 0.2500
6 Li 0.7500 0.7514 0.7500
7 Zn 0.0000 0.5000 0.0000
8 Zn 0.5000 0.5000 0.5000
9 Cu 0.0000 0.0000 0.5000
10 Cu 0.0000 0.5000 0.5000
11 Cu 0.2500 0.2558 0.7500
12 Cu 0.2500 0.7442 0.2500
13 Cu 0.5000 0.0000 0.0000
14 Cu 0.5000 0.5000 0.0000
15 Cu 0.7500 0.2558 0.7500
16 Cu 0.7500 0.7442 0.2500

Main lines, by angle (2θ from 5° to 70°):
2θ 16.45, I = 21
2θ 20.67, I = 80
2θ 26.68, I = 23
2θ 39.89, I = 29
2θ 42.06, I = 100
2θ 42.46, I = 97
2θ 48.08, I = 67
2θ 51.37, I = 27

---

Entry 8:
Simulated powder diffractogram of Tm2USe4 for Cu Kα X-rays, from the GGA-PBE geometry in Alexandria.
Intensities are scaled so that the largest is 100.

Structure:
Cell: 4.1740 4.1740 15.0588 Å, 90.00 90.00 120.00°
Positions (direct):
1 Tm 0.0000 0.0000 0.0000
2 Tm 0.3333 0.6667 0.2829
3 U 0.6667 0.3333 0.5745
4 Se 0.0000 0.0000 0.1815
5 Se 0.0000 0.0000 0.6708
6 Se 0.6667 0.3333 0.3824
7 Se 0.6667 0.3333 0.9210

Main lines, by angle (2θ from 5° to 70°):
2θ 17.67, I = 65
2θ 25.34, I = 100
2θ 27.37, I = 69
2θ 34.39, I = 53
2θ 38.92, I = 46
2θ 43.36, I = 66
2θ 43.92, I = 60
2θ 47.16, I = 31